Diffraction record for Tb3YTe. The X-ray powder pattern is simulated, not measured: it uses the PBE geometry in Alexandria and copper Kα.
Neutral-atom scattering factors, no anomalous dispersion.

Cell and atoms:
abc: 6.718 6.718 9.150
angles: 95.62 95.62 51.35
Fractional coordinates of all 10 atoms:
Tb: 0.057 0.057 0.343
Tb: 0.139 0.139 0.956
Tb: 0.371 0.371 0.368
Tb: 0.629 0.629 0.632
Tb: 0.861 0.861 0.044
Tb: 0.943 0.943 0.657
Y: 0.423 0.423 0.845
Y: 0.577 0.577 0.155
Te: 0.212 0.212 0.633
Te: 0.788 0.788 0.367

The 10 most intense peaks (15 to 90 degrees two-theta), in order of falling intensity:
d_spacing  I_rel
2.794  100
2.910  75
3.020  48
2.569  44
3.032  28
1.657  27
2.769  26
2.006  23
3.357  21
2.100  20



Diffraction record for Tb2YTe2. The X-ray powder pattern is simulated, not measured: it uses the PBE geometry in Alexandria and copper Kα.
Neutral-atom scattering factors, no anomalous dispersion.

Cell and atoms:
abc: 7.328 7.328 8.352
angles: 109.16 109.16 48.42
Fractional coordinates of all 10 atoms:
Tb: 0.034 0.034 0.298
Tb: 0.315 0.315 0.853
Tb: 0.685 0.685 0.147
Tb: 0.966 0.966 0.702
Y: 0.321 0.321 0.432
Y: 0.679 0.679 0.568
Te: 0.160 0.160 0.055
Te: 0.480 0.480 0.237
Te: 0.520 0.520 0.763
Te: 0.840 0.840 0.945

The 10 most intense peaks (15 to 90 degrees two-theta), in order of falling intensity:
d_spacing  I_rel
3.005  100
3.022  91
2.131  68
2.077  54
2.872  47
2.837  44
2.443  32
2.499  32
4.188  28
1.709  19



Diffraction record for TbY3Te3. The X-ray powder pattern is simulated, not measured: it uses the PBE geometry in Alexandria and copper Kα.
Neutral-atom scattering factors, no anomalous dispersion.

Cell and atoms:
abc: 7.881 7.881 7.881
angles: 69.60 69.60 69.60
Fractional coordinates of all 14 atoms:
Tb: 0.188 0.188 0.188
Tb: 0.812 0.812 0.812
Y: 0.165 0.656 0.422
Y: 0.344 0.578 0.835
Y: 0.422 0.165 0.656
Y: 0.578 0.835 0.344
Y: 0.656 0.422 0.165
Y: 0.835 0.344 0.578
Te: 0.038 0.399 0.819
Te: 0.181 0.962 0.601
Te: 0.399 0.819 0.038
Te: 0.601 0.181 0.962
Te: 0.819 0.038 0.399
Te: 0.962 0.601 0.181

The 10 most intense peaks (15 to 90 degrees two-theta), in order of falling intensity:
d_spacing  I_rel
2.795  100
2.475  61
2.597  58
2.455  53
3.583  38
2.964  37
2.101  32
1.453  22
2.905  21
1.774  20



Diffraction record for Tb4ZnTe2. The X-ray powder pattern is simulated, not measured: it uses the PBE geometry in Alexandria and copper Kα.
Neutral-atom scattering factors, no anomalous dispersion.

Cell and atoms:
abc: 7.721 12.000 4.516
angles: 90.00 90.00 90.00
Fractional coordinates of all 14 atoms:
Tb: 0.143 0.214 0.000
Tb: 0.208 0.942 0.500
Tb: 0.292 0.442 0.500
Tb: 0.357 0.714 0.000
Tb: 0.643 0.286 0.000
Tb: 0.708 0.558 0.500
Tb: 0.792 0.058 0.500
Tb: 0.857 0.786 0.000
Zn: 0.000 0.000 0.000
Zn: 0.500 0.500 0.000
Te: 0.082 0.674 0.500
Te: 0.418 0.174 0.500
Te: 0.582 0.826 0.500
Te: 0.918 0.326 0.500

The 10 most intense peaks (15 to 90 degrees two-theta), in order of falling intensity:
d_spacing  I_rel
2.850  100
2.795  89
2.636  46
2.258  40
1.757  31
3.608  28
1.426  26
2.044  23
3.269  22
2.365  20



Diffraction record for Tb7Zn2Te2. The X-ray powder pattern is simulated, not measured: it uses the PBE geometry in Alexandria and copper Kα.
Neutral-atom scattering factors, no anomalous dispersion.

Cell and atoms:
abc: 9.303 9.303 9.303
angles: 155.22 74.07 111.50
Fractional coordinates of all 11 atoms:
Tb: 0.000 0.000 0.000
Tb: 0.046 0.357 0.689
Tb: 0.141 0.762 0.379
Tb: 0.383 0.762 0.621
Tb: 0.481 0.598 0.882
Tb: 0.669 0.357 0.311
Tb: 0.716 0.598 0.118
Zn: 0.370 0.370 0.000
Zn: 0.763 0.263 0.500
Te: 0.299 0.080 0.219
Te: 0.860 0.080 0.781

The 10 most intense peaks (15 to 90 degrees two-theta), in order of falling intensity:
d_spacing  I_rel
2.631  100
3.105  83
2.856  61
2.672  52
1.996  26
1.636  23
1.763  18
2.262  17
3.398  16
3.029  14



Diffraction record for Tb2ZrTe4. The X-ray powder pattern is simulated, not measured: it uses the PBE geometry in Alexandria and copper Kα.
Neutral-atom scattering factors, no anomalous dispersion.

Cell and atoms:
abc: 15.621 4.280 7.563
angles: 90.00 118.38 90.00
Fractional coordinates of all 14 atoms:
Tb: 0.250 0.000 0.236
Tb: 0.250 0.500 0.764
Tb: 0.750 0.000 0.764
Tb: 0.750 0.500 0.236
Zr: 0.000 0.000 0.000
Zr: 0.500 0.500 0.000
Te: 0.113 0.000 0.782
Te: 0.119 0.500 0.289
Te: 0.381 0.000 0.711
Te: 0.387 0.500 0.218
Te: 0.613 0.500 0.782
Te: 0.619 0.000 0.289
Te: 0.881 0.500 0.711
Te: 0.887 0.000 0.218

The 10 most intense peaks (15 to 90 degrees two-theta), in order of falling intensity:
d_spacing  I_rel
3.268  100
2.531  90
2.172  56
3.327  50
2.519  32
2.140  27
2.556  18
1.800  17
1.634  16
1.956  15